1.
BaBSe2: computed powder diffraction line list (a wavelength of 1.5418 Å), based on DFT lattice parameters and positions (GGA-PBE).
Intensities are scaled so that the largest is 100.

```
BaBSe2
1.0
7.115 0.000 0.000
0.000 7.115 0.000
0.000 0.000 5.436
Ba B Se
2 2 4
Direct
0.000 0.500 0.000 Ba
0.500 0.000 0.500 Ba
0.000 0.000 0.250 B
0.000 0.000 0.750 B
0.088 0.213 0.500 Se
0.213 0.912 0.000 Se
0.787 0.088 0.000 Se
0.912 0.787 0.500 Se
```

Peak list (6 most intense, 2θ = 10–80°, in order of rising 2θ)
12.44°, rel. 51; 20.56°, rel. 22; 32.61°, rel. 100; 32.96°, rel. 20; 40.08°, rel. 24; 52.82°, rel. 24

---

2.
Hg3I: computed powder diffraction line list (a wavelength of 1.5418 Å), based on DFT lattice parameters and positions (GGA-PBE).
Intensities are scaled so that the largest is 100.

```
Hg3I
1.0
5.541 0.000 0.000
2.121 6.558 0.000
0.357 2.117 7.706
Hg I
6 2
Direct
0.000 0.000 0.000 Hg
0.173 0.308 0.194 Hg
0.203 0.776 0.584 Hg
0.500 0.500 0.000 Hg
0.797 0.224 0.416 Hg
0.827 0.692 0.806 Hg
0.411 0.206 0.674 I
0.589 0.794 0.326 I
```

Peak list (6 most intense, 2θ = 10–80°, in order of rising 2θ)
15.60°, rel. 52; 27.07°, rel. 90; 27.51°, rel. 68; 29.52°, rel. 100; 31.95°, rel. 52; 37.11°, rel. 43

---

3.
Ce3Ni2Ge2: computed powder diffraction line list (a wavelength of 1.5418 Å), based on DFT lattice parameters and positions (GGA-PBE).
Intensities are scaled so that the largest is 100.

```
Ce3Ni2Ge2
1.0
3.987 0.000 0.000
0.000 4.202 0.000
0.000 0.000 17.945
Ce Ni Ge
6 4 4
Direct
0.000 0.000 0.000 Ce
0.000 0.500 0.183 Ce
0.000 0.500 0.817 Ce
0.500 0.000 0.317 Ce
0.500 0.000 0.683 Ce
0.500 0.500 0.500 Ce
0.000 0.000 0.433 Ni
0.000 0.000 0.567 Ni
0.500 0.500 0.067 Ni
0.500 0.500 0.933 Ni
0.000 0.500 0.362 Ge
0.000 0.500 0.638 Ge
0.500 0.000 0.138 Ge
0.500 0.000 0.862 Ge
```

Peak list (6 most intense, 2θ = 10–80°, in order of rising 2θ)
32.53°, rel. 100; 33.60°, rel. 61; 36.98°, rel. 34; 41.25°, rel. 29; 43.05°, rel. 30; 55.69°, rel. 28

---

4.
TbPuIn4: computed powder diffraction line list (a wavelength of 1.5418 Å), based on DFT lattice parameters and positions (GGA-PBE).
Intensities are scaled so that the largest is 100.

```
TbPuIn4
1.0
3.472 0.000 0.000
0.000 5.044 0.000
-0.001 0.000 8.811
Tb Pu In
1 1 4
Direct
0.000 0.000 0.000 Tb
0.000 0.500 0.500 Pu
0.497 0.000 0.332 In
0.498 0.500 0.835 In
0.502 0.500 0.165 In
0.503 0.000 0.668 In
```

Peak list (6 most intense, 2θ = 10–80°, in order of rising 2θ)
32.90°, rel. 100; 35.37°, rel. 52; 35.60°, rel. 26; 48.97°, rel. 11; 49.21°, rel. 22; 65.10°, rel. 17

---

5.
Ac2In6Pt: computed powder diffraction line list (a wavelength of 1.5418 Å), based on DFT lattice parameters and positions (GGA-PBE).
Intensities are scaled so that the largest is 100.

```
Ac2In6Pt
1.0
6.808 0.000 0.000
-3.404 5.895 0.000
0.000 0.000 6.104
Ac In Pt
2 6 1
Direct
0.333 0.667 0.186 Ac
0.667 0.333 0.814 Ac
0.173 0.345 0.694 In
0.173 0.827 0.694 In
0.345 0.173 0.306 In
0.655 0.827 0.694 In
0.827 0.173 0.306 In
0.827 0.655 0.306 In
0.000 0.000 0.000 Pt
```

Peak list (6 most intense, 2θ = 10–80°, in order of rising 2θ)
26.18°, rel. 17; 30.06°, rel. 30; 33.05°, rel. 30; 33.77°, rel. 100; 42.64°, rel. 23; 53.87°, rel. 26

---

6.
Y4NpO10: computed powder diffraction line list (a wavelength of 1.5418 Å), based on DFT lattice parameters and positions (GGA-PBE).
Intensities are scaled so that the largest is 100.

```
Y4NpO10
1.0
-4.258 4.258 2.661
4.258 -4.258 2.661
4.258 4.258 -2.661
Y Np O
4 1 10
Direct
0.099 0.301 0.399 Y
0.301 0.901 0.202 Y
0.699 0.099 0.798 Y
0.901 0.699 0.601 Y
0.500 0.500 0.000 Np
0.078 0.167 0.717 O
0.167 0.450 0.089 O
0.250 0.750 0.500 O
0.362 0.078 0.911 O
0.450 0.362 0.283 O
0.550 0.638 0.717 O
0.638 0.922 0.089 O
0.750 0.250 0.500 O
0.833 0.550 0.911 O
0.922 0.833 0.283 O
```

Peak list (6 most intense, 2θ = 10–80°, in order of rising 2θ)
28.83°, rel. 100; 33.27°, rel. 18; 47.76°, rel. 19; 48.07°, rel. 37; 56.75°, rel. 29; 57.29°, rel. 15

---

7.
BiTe5Pb4: computed powder diffraction line list (a wavelength of 1.5418 Å), based on DFT lattice parameters and positions (GGA-PBE).
Intensities are scaled so that the largest is 100.

```
BiTe5Pb4
1.0
-2.318 2.318 16.306
2.318 -2.318 16.306
2.318 2.318 -16.306
Bi Te Pb
1 5 4
Direct
0.000 0.000 0.000 Bi
0.099 0.099 0.000 Te
0.300 0.300 0.000 Te
0.500 0.500 0.000 Te
0.700 0.700 0.000 Te
0.901 0.901 0.000 Te
0.200 0.200 0.000 Pb
0.400 0.400 0.000 Pb
0.600 0.600 0.000 Pb
0.800 0.800 0.000 Pb
```

Peak list (6 most intense, 2θ = 10–80°, in order of rising 2θ)
27.20°, rel. 100; 27.35°, rel. 49; 38.85°, rel. 39; 38.95°, rel. 78; 48.16°, rel. 43; 63.48°, rel. 38

---

8.
Hg5N4: computed powder diffraction line list (a wavelength of 1.5418 Å), based on DFT lattice parameters and positions (GGA-PBE).
Intensities are scaled so that the largest is 100.

```
Hg5N4
1.0
6.702 0.000 0.000
0.595 8.000 0.000
3.338 0.028 7.471
Hg N
5 4
Direct
0.000 0.000 0.000 Hg
0.333 0.664 0.999 Hg
0.383 0.001 0.227 Hg
0.617 0.999 0.773 Hg
0.667 0.336 0.001 Hg
0.025 0.458 0.441 N
0.466 0.458 0.559 N
0.534 0.542 0.441 N
0.975 0.542 0.559 N
```

Peak list (6 most intense, 2θ = 10–80°, in order of rising 2θ)
11.85°, rel. 100; 24.47°, rel. 77; 29.73°, rel. 39; 33.63°, rel. 47; 34.41°, rel. 43; 35.77°, rel. 44

---

9.
Tm2Fe17: computed powder diffraction line list (a wavelength of 1.5418 Å), based on DFT lattice parameters and positions (GGA-PBE).
Intensities are scaled so that the largest is 100.

```
Tm2Fe17
1.0
8.395 0.000 0.000
-4.198 7.271 0.000
0.000 0.000 8.236
Tm Fe
4 34
Direct
0.000 0.000 0.250 Tm
0.000 0.000 0.750 Tm
0.333 0.667 0.250 Tm
0.667 0.333 0.750 Tm
0.000 0.500 0.000 Fe
0.000 0.500 0.500 Fe
0.036 0.365 0.750 Fe
0.036 0.671 0.750 Fe
0.166 0.331 0.015 Fe
0.166 0.331 0.485 Fe
0.166 0.834 0.015 Fe
0.166 0.834 0.485 Fe
0.329 0.365 0.750 Fe
0.329 0.964 0.750 Fe
0.331 0.166 0.515 Fe
0.331 0.166 0.985 Fe
0.333 0.667 0.607 Fe
0.333 0.667 0.893 Fe
0.365 0.036 0.250 Fe
0.365 0.329 0.250 Fe
0.500 0.000 0.000 Fe
0.500 0.000 0.500 Fe
0.500 0.500 0.000 Fe
0.500 0.500 0.500 Fe
0.635 0.671 0.750 Fe
0.635 0.964 0.750 Fe
0.667 0.333 0.107 Fe
0.667 0.333 0.393 Fe
0.669 0.834 0.015 Fe
0.669 0.834 0.485 Fe
0.671 0.036 0.250 Fe
0.671 0.635 0.250 Fe
0.834 0.166 0.515 Fe
0.834 0.166 0.985 Fe
0.834 0.669 0.515 Fe
0.834 0.669 0.985 Fe
0.964 0.329 0.250 Fe
0.964 0.635 0.250 Fe
```

Peak list (6 most intense, 2θ = 10–80°, in order of rising 2θ)
30.41°, rel. 42; 37.10°, rel. 43; 41.21°, rel. 28; 43.10°, rel. 56; 43.32°, rel. 100; 43.97°, rel. 30

---

10.
Ce3PrPa2P6: computed powder diffraction line list (a wavelength of 1.5418 Å), based on DFT lattice parameters and positions (GGA-PBE).
Intensities are scaled so that the largest is 100.

```
Ce3PrPa2P6
1.0
3.517 -6.090 0.000
3.517 6.090 0.000
-2.344 0.000 6.639
Ce Pr Pa P
3 1 2 6
Direct
0.000 0.000 0.000 Ce
0.336 0.664 0.000 Ce
0.664 0.336 0.000 Ce
0.500 0.500 0.500 Pr
0.167 0.833 0.500 Pa
0.833 0.167 0.500 Pa
0.073 0.418 0.255 P
0.237 0.237 0.744 P
0.418 0.073 0.255 P
0.582 0.927 0.745 P
0.763 0.763 0.256 P
0.927 0.582 0.745 P
```

Peak list (6 most intense, 2θ = 10–80°, in order of rising 2θ)
26.88°, rel. 91; 31.14°, rel. 100; 44.61°, rel. 74; 52.87°, rel. 34; 55.40°, rel. 26; 73.76°, rel. 33

---

11.
ZnIn14Ga: computed powder diffraction line list (a wavelength of 1.5418 Å), based on DFT lattice parameters and positions (GGA-PBE).
Intensities are scaled so that the largest is 100.

```
ZnIn14Ga
1.0
4.555 -5.089 0.000
4.555 5.089 0.000
0.000 0.000 8.940
Zn In Ga
1 14 1
Direct
0.000 0.000 0.000 Zn
0.000 0.000 0.500 In
0.000 0.500 0.000 In
0.000 0.500 0.500 In
0.244 0.244 0.235 In
0.244 0.244 0.765 In
0.253 0.747 0.245 In
0.253 0.747 0.755 In
0.500 0.000 0.000 In
0.500 0.000 0.500 In
0.500 0.500 0.500 In
0.747 0.253 0.245 In
0.747 0.253 0.755 In
0.756 0.756 0.235 In
0.756 0.756 0.765 In
0.500 0.500 0.000 Ga
```

Peak list (6 most intense, 2θ = 10–80°, in order of rising 2θ)
33.14°, rel. 100; 35.27°, rel. 21; 39.57°, rel. 15; 40.35°, rel. 14; 54.04°, rel. 12; 61.96°, rel. 16

---

12.
CePrZrSc: computed powder diffraction line list (a wavelength of 1.5418 Å), based on DFT lattice parameters and positions (GGA-PBE).
Intensities are scaled so that the largest is 100.

```
CePrZrSc
1.0
7.619 0.000 0.000
0.000 7.619 0.000
0.000 0.000 7.619
Ce Pr Zr Sc
4 4 4 4
Direct
0.000 0.000 0.000 Ce
0.000 0.500 0.500 Ce
0.500 0.000 0.500 Ce
0.500 0.500 0.000 Ce
0.000 0.000 0.500 Pr
0.000 0.500 0.000 Pr
0.500 0.000 0.000 Pr
0.500 0.500 0.500 Pr
0.250 0.250 0.250 Zr
0.250 0.750 0.750 Zr
0.750 0.250 0.750 Zr
0.750 0.750 0.250 Zr
0.250 0.250 0.750 Sc
0.250 0.750 0.250 Sc
0.750 0.250 0.250 Sc
0.750 0.750 0.750 Sc
```

Peak list (6 most intense, 2θ = 10–80°, in order of rising 2θ)
23.35°, rel. 14; 33.26°, rel. 100; 47.75°, rel. 18; 59.43°, rel. 37; 69.83°, rel. 11; 79.57°, rel. 15